Structure and theoretical powder XRD pattern of Rb3ReF8 (DFT lattice parameters and positions (PBE); λ = 1.5418 Å (Cu Kα)).
No peak broadening, texture or thermal motion is included.

Largest 10 diffraction maxima, sorted by position, 15° ≤ 2θ ≤ 90°:
index	two_theta	Rel. int.
1 0 1	17.28	40
2 0 0	24.43	17
0 0 2	24.63	25
2 0 1	27.41	100
2 0 2	34.96	21
2 2 0	42.99	27
2 0 3	45.10	26
2 2 2	50.17	21
4 0 1	51.75	16
4 2 1	69.48	17

Crystal structure
```
data_Rb3ReF8
_cell_length_a 8.4152
_cell_length_b 8.4152
_cell_length_c 7.2301
_cell_angle_alpha 90.00
_cell_angle_beta 90.00
_cell_angle_gamma 120.00
_space_group_name_H-M_alt 'P 63 m c'
_space_group_IT_number 186
_space_group_name_Hall 'P 6c -2c'
loop_
_atom_site_label
_atom_site_type_symbol
_atom_site_fract_x
_atom_site_fract_y
_atom_site_fract_z
Rb1 Rb 0.1556 0.3111 0.0000
Re1 Re 0.3333 0.6667 0.4448
F1 F 0.0000 0.0000 0.2562
F2 F 0.0727 0.5363 0.3640
F3 F 0.2280 0.4560 0.6138
F4 F 0.3333 0.6667 0.1688
```